[1]
This entry pairs a crystal structure of Tm4InPt with its computed X-ray powder pattern. Radiation: Cu Kα X-rays. Structure: a structure optimized by DFT (PBE).
Lines closer than 0.1° are merged.

Atomic structure:
```
data_Tm4InPt
_chemical_formula_sum 'Tm64 In16 Pt16'
_symmetry_space_group_name_H-M 'F -4 3 m'
_symmetry_Int_Tables_number 216
_symmetry_space_group_name_Hall 'F -4 2 3'
_cell_length_a 13.557
_cell_length_b 13.557
_cell_length_c 13.557
_cell_angle_alpha 90.00
_cell_angle_beta 90.00
_cell_angle_gamma 90.00
loop_
_atom_site_label
_atom_site_fract_x
_atom_site_fract_y
_atom_site_fract_z
Tm1 0.000 0.000 0.187
Tm2 0.061 0.250 0.250
Tm3 0.102 0.102 0.602
In1 0.166 0.166 0.834
Pt1 0.107 0.107 0.393
```

Main lines, sorted by position (2θ = 5–70°):
| 2θ (°) | Rel. int. |
| --- | --- |
| 11.30 | 10 |
| 28.70 | 16 |
| 32.35 | 39 |
| 34.37 | 100 |
| 37.53 | 37 |
| 39.32 | 8 |
| 51.80 | 11 |
| 57.70 | 39 |
| 59.01 | 14 |
| 68.92 | 13 |


[2]
This entry pairs a crystal structure of Sr3ScSn6 with its computed X-ray powder pattern. Radiation: Cu Kα X-rays. Structure: a structure optimized by DFT (PBE).
Lines closer than 0.1° are merged.

Atomic structure:
```
data_Sr3ScSn6
_chemical_formula_sum 'Sr18 Sc6 Sn36'
_symmetry_space_group_name_H-M 'R -3 c'
_symmetry_Int_Tables_number 167
_symmetry_space_group_name_Hall '-R 3 2"c'
_cell_length_a 12.8232
_cell_length_b 12.8232
_cell_length_c 12.8393
_cell_angle_alpha 90.00
_cell_angle_beta 90.00
_cell_angle_gamma 120.00
loop_
_atom_site_label
_atom_site_fract_x
_atom_site_fract_y
_atom_site_fract_z
Sr1 0.0000 0.4323 0.2500
Sc1 0.0000 0.0000 0.0000
Sn1 0.0648 0.2062 0.3465
```

Main lines, sorted by position (2θ = 5–70°):
| 2θ (°) | Rel. int. |
| --- | --- |
| 24.04 | 12 |
| 28.96 | 23 |
| 29.83 | 64 |
| 32.23 | 100 |
| 40.59 | 11 |
| 41.21 | 18 |
| 42.89 | 24 |
| 51.37 | 10 |
| 56.00 | 18 |
| 69.66 | 14 |


[3]
This entry pairs a crystal structure of Be2B2W with its computed X-ray powder pattern. Radiation: Cu Kα X-rays. Structure: a structure optimized by DFT (PBE).
Lines closer than 0.1° are merged.

Atomic structure:
```
data_Be2B2W
_chemical_formula_sum 'Be8 B8 W4'
_symmetry_space_group_name_H-M 'C m c 21'
_symmetry_Int_Tables_number 36
_symmetry_space_group_name_Hall 'C 2c -2'
_cell_length_a 3.096
_cell_length_b 9.190
_cell_length_c 5.882
_cell_angle_alpha 90.00
_cell_angle_beta 90.00
_cell_angle_gamma 90.00
loop_
_atom_site_label
_atom_site_fract_x
_atom_site_fract_y
_atom_site_fract_z
Be1 0.000 0.128 0.000
Be2 0.000 0.311 0.747
B1 0.000 0.058 0.342
B2 0.000 0.234 0.436
W1 0.000 0.413 0.145
```

Main lines, sorted by position (2θ = 5–70°):
| 2θ (°) | Rel. int. |
| --- | --- |
| 19.32 | 22 |
| 24.58 | 100 |
| 30.44 | 89 |
| 34.15 | 32 |
| 42.23 | 24 |
| 43.57 | 51 |
| 44.36 | 66 |
| 50.62 | 18 |
| 63.89 | 18 |
| 67.25 | 15 |


[4]
This entry pairs a crystal structure of Pr4Nd2SmTm with its computed X-ray powder pattern. Radiation: Cu Kα X-rays. Structure: a structure optimized by DFT (PBE).
Lines closer than 0.1° are merged.

Atomic structure:
```
data_Pr4Nd2SmTm
_chemical_formula_sum 'Pr4 Nd2 Sm1 Tm1'
_symmetry_space_group_name_H-M 'P 1 2/m 1'
_symmetry_Int_Tables_number 10
_symmetry_space_group_name_Hall '-P 2y'
_cell_length_a 5.183
_cell_length_b 5.209
_cell_length_c 10.327
_cell_angle_alpha 90.00
_cell_angle_beta 90.08
_cell_angle_gamma 90.00
loop_
_atom_site_label
_atom_site_fract_x
_atom_site_fract_y
_atom_site_fract_z
Pr1 0.000 0.000 0.247
Pr2 0.500 0.500 0.248
Nd1 0.000 0.500 0.000
Nd2 0.500 0.000 0.500
Sm1 0.000 0.500 0.500
Tm1 0.500 0.000 0.000
```

Main lines, sorted by position (2θ = 5–70°):
| 2θ (°) | Rel. int. |
| --- | --- |
| 29.85 | 100 |
| 34.44 | 17 |
| 34.62 | 17 |
| 34.75 | 17 |
| 49.68 | 24 |
| 49.86 | 12 |
| 58.88 | 15 |
| 59.11 | 14 |
| 59.29 | 14 |
| 62.00 | 12 |